Structure and theoretical X-ray diffraction stick pattern of Nd3BWO9 (the PBE+U geometry in Alexandria; copper Kα).
Kinematic intensities with the Lorentz-polarization factor, no thermal factor.

Structural model:
Unit cell a=8.8042 b=8.8042 c=5.5867 alpha=90.00 beta=90.00 gamma=120.00
Space group P6_3 (No. 173)
Symmetry-distinct sites (fractional):
Nd 0.0800 0.7241 0.0000 (multiplicity 6)
B 0.0000 0.0000 0.1649 (multiplicity 2)
W 0.3333 0.6667 0.5440 (multiplicity 2)
O 0.0482 0.8727 0.6567 (multiplicity 6)
O 0.1353 0.5197 0.7674 (multiplicity 6)
O 0.2067 0.4661 0.3410 (multiplicity 6)

Most intense lines, 2θ from 5° to 70°, in order of rising 2θ:
25.77°, intensity 90, (1 1 1); 28.34°, intensity 100, (2 0 1); 35.04°, intensity 26, (2 1 1); 45.21°, intensity 25, (1 2 2); 48.42°, intensity 30, (3 0 2); 55.01°, intensity 35, (3 2 1)